Computed powder X-ray diffraction pattern
Compound: Sr3LaGaCo2O9
Radiation: Cu Kα (λ = 1.5418 Å)
Structure: the PBE+U geometry in Alexandria
Intensities are scaled so that the largest is 100.

Top 6 peaks for 2θ = 10–80°, most intense first:
31.5 deg, d = 2.843 Å, I 100; 31.7 deg, d = 2.821 Å, I 38; 44.9 deg, d = 2.017 Å, I 34; 31.0 deg, d = 2.886 Å, I 32; 56.3 deg, d = 1.633 Å, I 28; 55.4 deg, d = 1.658 Å, I 22

Structural model:
a = 14.3209 Å, b = 14.3079 Å, c = 4.0354 Å
α = 82.08°, β = 81.71°, γ = 16.21°
Atoms (fractional coordinates):
Sr1 0.0000 0.0000 0.0000
Sr2 0.1273 0.1273 0.8727
Sr3 0.4009 0.4009 0.5991
La1 0.2770 0.2770 0.7230
Ga1 0.5559 0.5559 0.4441
Co1 0.7120 0.7120 0.2880
Co2 0.8470 0.8470 0.1530
O1 0.0702 0.0702 0.4298
O2 0.3383 0.3383 0.1617
O3 0.4132 0.9867 0.0133
O4 0.4895 0.4895 0.5105
O5 0.5702 0.5702 0.9298
O6 0.7751 0.7751 0.2249
O7 0.8383 0.8383 0.6617
O8 0.9134 0.9134 0.0866
O9 0.9867 0.4132 0.5868